Structure and theoretical powder diffractogram of AcTb3Ho8 (a GGA-PBE-relaxed structure; a wavelength of 1.5418 Å).
Neutral-atom scattering factors, no anomalous dispersion.

Crystal structure
```
AcTb3Ho8
1.0
6.3027 0.0000 0.0000
3.1424 7.8747 0.0000
3.1503 -0.3295 7.8756
Ac Tb Ho
1 3 8
Direct
0.0000 0.0000 0.0000
0.0023 0.5002 0.5001
0.3390 0.2523 0.7467
0.3395 0.7464 0.2525
0.0021 0.0858 0.5770
0.0027 0.5771 0.0851
0.3342 0.1706 0.1704
0.3384 0.6643 0.6643
0.6654 0.9139 0.4222
0.6656 0.4219 0.9138
0.6671 0.3362 0.3360
0.6752 0.8299 0.8293
```

Most intense lines, 2θ from 5° to 70°, by intensity:
| two_theta | I (rel.) |
| --- | --- |
| 32.49 | 100 |
| 31.47 | 24 |
| 28.33 | 24 |
| 60.42 | 23 |
| 56.68 | 21 |
| 50.16 | 20 |


Structure and theoretical powder diffractogram of SrHg2F6 (a GGA-PBE-relaxed structure; a wavelength of 1.5418 Å).
Neutral-atom scattering factors, no anomalous dispersion.

Crystal structure
```
SrHg2F6
1.0
6.1514 -2.1754 0.0000
6.1514 2.1754 0.0000
-4.4611 0.0000 6.3876
Sr Hg F
1 2 6
Direct
0.0000 0.0000 0.0000
0.1791 0.1791 0.6233
0.8209 0.8209 0.3767
0.0144 0.0144 0.6930
0.2346 0.2346 0.3533
0.3697 0.3697 0.9343
0.6303 0.6303 0.0657
0.7654 0.7654 0.6467
0.9856 0.9856 0.3070
```

Most intense lines, 2θ from 5° to 70°, by intensity:
| two_theta | I (rel.) |
| --- | --- |
| 29.99 | 100 |
| 23.43 | 80 |
| 22.25 | 72 |
| 22.89 | 70 |
| 28.13 | 60 |
| 13.86 | 51 |


Structure and theoretical powder diffractogram of Zn9NiPd2 (a GGA-PBE-relaxed structure; a wavelength of 1.5418 Å).
Neutral-atom scattering factors, no anomalous dispersion.

Crystal structure
```
Zn9NiPd2
1.0
4.8002 0.0000 0.0000
0.6518 5.9654 0.0000
0.5802 0.5944 6.0388
Zn Ni Pd
9 1 2
Direct
0.0000 0.0000 0.0000
0.0024 0.3449 0.6672
0.2499 0.9093 0.5738
0.2639 0.2609 0.2502
0.4933 0.1885 0.8237
0.5067 0.8115 0.1763
0.7361 0.7391 0.7498
0.7501 0.0907 0.4262
0.9976 0.6551 0.3328
0.5000 0.5000 0.5000
0.2432 0.6060 0.9103
0.7568 0.3940 0.0897
```

Most intense lines, 2θ from 5° to 70°, by intensity:
| two_theta | I (rel.) |
| --- | --- |
| 40.48 | 100 |
| 40.12 | 51 |
| 40.78 | 47 |
| 45.64 | 35 |
| 47.54 | 31 |
| 48.01 | 29 |


Structure and theoretical powder diffractogram of AgSn5Se7 (a GGA-PBE-relaxed structure; a wavelength of 1.5418 Å).
Neutral-atom scattering factors, no anomalous dispersion.

Crystal structure
```
AgSn5Se7
1.0
6.8465 -2.0599 0.0000
6.8465 2.0599 0.0000
-1.4078 0.0000 25.0285
Ag Sn Se
2 10 14
Direct
0.1722 0.1722 0.2842
0.8278 0.8278 0.7158
0.0000 0.0000 0.0000
0.0000 0.0000 0.5000
0.2648 0.2648 0.9227
0.2733 0.2733 0.5779
0.4479 0.4479 0.3431
0.4661 0.4661 0.1517
0.5339 0.5339 0.8483
0.5521 0.5521 0.6569
0.7267 0.7267 0.4221
0.7352 0.7352 0.0773
0.0826 0.0826 0.3924
0.1081 0.1081 0.1066
0.1613 0.1613 0.8253
0.1956 0.1956 0.6820
0.3601 0.3601 0.4638
0.3653 0.3653 0.0358
0.4440 0.4440 0.7465
0.5560 0.5560 0.2535
0.6347 0.6347 0.9642
0.6399 0.6399 0.5362
0.8044 0.8044 0.3180
0.8387 0.8387 0.1747
0.8919 0.8919 0.8934
0.9174 0.9174 0.6076
```

Most intense lines, 2θ from 5° to 70°, by intensity:
| two_theta | I (rel.) |
| --- | --- |
| 30.77 | 100 |
| 30.37 | 92 |
| 42.85 | 87 |
| 43.96 | 69 |
| 29.83 | 66 |
| 31.55 | 62 |


Structure and theoretical powder diffractogram of Pr5Ho6 (a GGA-PBE-relaxed structure; a wavelength of 1.5418 Å).
Neutral-atom scattering factors, no anomalous dispersion.

Crystal structure
```
Pr5Ho6
1.0
-2.8197 4.1032 8.0900
2.8197 -4.1032 8.0900
2.8197 4.1032 -8.0900
Pr Ho
5 6
Direct
0.0000 0.0000 0.0000
0.1623 0.6623 0.5000
0.3018 0.3018 0.0000
0.6982 0.6982 0.0000
0.8377 0.3377 0.5000
0.1600 0.8644 0.2957
0.2947 0.5000 0.7947
0.4313 0.1356 0.2957
0.5687 0.8644 0.7043
0.7053 0.5000 0.2053
0.8400 0.1356 0.7043
```

Most intense lines, 2θ from 5° to 70°, by intensity:
| two_theta | I (rel.) |
| --- | --- |
| 31.68 | 100 |
| 33.22 | 20 |
| 29.27 | 20 |
| 46.60 | 16 |
| 56.49 | 14 |
| 31.88 | 14 |


Structure and theoretical powder diffractogram of CeThC4 (a GGA-PBE-relaxed structure; a wavelength of 1.5418 Å).
Neutral-atom scattering factors, no anomalous dispersion.

Crystal structure
```
CeThC4
1.0
3.7855 0.0000 0.0000
0.0000 3.7863 0.0000
-0.0621 0.0000 6.3608
Ce Th C
1 1 4
Direct
0.0000 0.0000 0.0000
0.5000 0.5000 0.5000
0.0012 0.0000 0.3954
0.4986 0.5000 0.1033
0.5014 0.5000 0.8967
0.9988 0.0000 0.6046
```

Most intense lines, 2θ from 5° to 70°, by intensity:
| two_theta | I (rel.) |
| --- | --- |
| 27.41 | 100 |
| 33.47 | 93 |
| 28.06 | 63 |
| 27.30 | 51 |
| 27.54 | 49 |
| 56.32 | 39 |